Calculated powder XRD pattern of Ga2GeCl6 for Cu Kα, from a structure optimized by DFT (PBE).
Lines closer than 0.1° are merged.

Atomic structure:
```
Ga2GeCl6
1.0
7.437 -6.426 0.000
7.437 6.426 0.000
-0.853 0.000 6.432
Ga Ge Cl
4 2 12
Cartesian
5.582 5.309 4.699
8.012 5.309 4.949
6.008 -5.309 1.483
8.439 -5.309 1.733
6.797 0.876 4.824
7.223 -0.876 1.608
4.387 3.616 5.286
1.630 0.773 3.992
2.057 -0.773 0.776
5.652 0.715 2.376
9.207 3.616 4.361
5.226 -0.715 5.592
8.795 0.715 0.840
4.813 -3.616 2.070
8.368 -0.715 4.055
11.964 0.773 5.656
12.390 -0.773 2.440
9.634 -3.616 1.146
```

The 10 most intense peaks (10° ≤ 2θ ≤ 80°), low angle first:
2θ 12.01, intensity 79; 2θ 13.78, intensity 100; 2θ 15.87, intensity 68; 2θ 17.19, intensity 49; 2θ 18.32, intensity 55; 2θ 19.34, intensity 57; 2θ 25.26, intensity 74; 2θ 27.74, intensity 51; 2θ 29.87, intensity 85; 2θ 47.07, intensity 46